Calculated X-ray powder pattern
Compound: MnFe3Bi4O12
Radiation: Cu Kα, 1.54184 Å
Structure: a DFT-relaxed cell (GGA+U, the Materials Project)

The 10 most intense peaks (5 to 70 degrees two-theta), low angle first:
2θ 21.60, d = 4.114 Å, I = 29
2θ 22.36, d = 3.975 Å, I = 53
2θ 31.01, d = 2.884 Å, I = 35
2θ 31.16, d = 2.870 Å, I = 34
2θ 31.49, d = 2.841 Å, I = 100
2θ 32.18, d = 2.782 Å, I = 32
2θ 44.02, d = 2.057 Å, I = 17
2θ 45.64, d = 1.988 Å, I = 30
2θ 50.92, d = 1.793 Å, I = 17
2θ 55.66, d = 1.651 Å, I = 22

Structural model:
```
data_MnFe3Bi4O12
_chemical_formula_sum 'Mn1 Fe3 Bi4 O12'
_cell_length_a 5.6826
_cell_length_b 5.6944
_cell_length_c 9.6929
_cell_angle_alpha 88.68
_cell_angle_beta 73.32
_cell_angle_gamma 60.97
_symmetry_space_group_name_H-M 'P 1'
_symmetry_Int_Tables_number 1
_symmetry_space_group_name_Hall 'P 1'
loop_
_atom_site_label
_atom_site_type_symbol
_atom_site_fract_x
_atom_site_fract_y
_atom_site_fract_z
_atom_site_occupancy
Mn1 Mn 0.0000 0.0000 0.0000 1
Fe1 Fe 0.4925 0.2466 0.7533 1
Fe2 Fe 0.4924 0.7569 0.2526 1
Fe3 Fe 0.9904 0.5053 0.5028 1
Bi1 Bi 0.1535 0.9208 0.6401 1
Bi2 Bi 0.1544 0.4237 0.1402 1
Bi3 Bi 0.6529 0.1770 0.3914 1
Bi4 Bi 0.6590 0.6628 0.8941 1
O1 O 0.2755 0.0559 0.8370 1
O2 O 0.2903 0.9298 0.1060 1
O3 O 0.2942 0.5519 0.3355 1
O4 O 0.2950 0.0744 0.4083 1
O5 O 0.2987 0.4179 0.6078 1
O6 O 0.3080 0.5509 0.9099 1
O7 O 0.7853 0.4295 0.0875 1
O8 O 0.7885 0.5317 0.3620 1
O9 O 0.7911 0.8969 0.5873 1
O10 O 0.7934 0.0125 0.8629 1
O11 O 0.7958 0.8853 0.1593 1
O12 O 0.8033 0.3607 0.6594 1
```